[1]
Simulated powder X-ray diffraction pattern of Dy2HoTm4Th for Cu Ka, from DFT lattice parameters and positions (GGA-PBE).
No peak broadening, texture or thermal motion is included.

Main lines, low angle first (2θ from 15° to 90°):
2θ = 31.13°, I = 100.0
2θ = 35.94°, I = 34.2
2θ = 36.40°, I = 16.5
2θ = 52.08°, I = 23.9
2θ = 61.59°, I = 21.7
2θ = 62.24°, I = 14.0

Cell and atoms:
Cell: 4.993 5.003 9.872 Å, 90.00 90.05 90.00°
Fractional coordinates of all 8 atoms:
Dy1 0.000 0.000 0.000
Dy2 0.500 0.500 0.500
Ho1 0.000 0.000 0.500
Tm1 0.000 0.500 0.249
Tm2 0.000 0.500 0.751
Tm3 0.500 0.000 0.248
Tm4 0.500 0.000 0.752
Th1 0.500 0.500 0.000

=====

[2]
Simulated powder X-ray diffraction pattern of DyHo5Tm2Th for Cu Ka, from DFT lattice parameters and positions (GGA-PBE).
No peak broadening, texture or thermal motion is included.

Main lines, low angle first (2θ from 15° to 90°):
2θ = 26.67°, I = 21.4
2θ = 31.65°, I = 58.7
2θ = 32.18°, I = 100.0
2θ = 32.38°, I = 60.2
2θ = 34.65°, I = 30.5
2θ = 56.71°, I = 20.2

Cell and atoms:
Cell: 11.060 11.060 9.615 Å, 90.00 90.00 150.38°
Fractional coordinates of all 18 atoms:
Dy1 0.190 0.810 0.500
Dy2 0.810 0.190 0.000
Ho1 0.014 0.986 0.501
Ho2 0.272 0.728 0.806
Ho3 0.304 0.696 0.199
Ho4 0.398 0.602 0.524
Ho5 0.469 0.531 0.225
Ho6 0.531 0.469 0.725
Ho7 0.602 0.398 0.024
Ho8 0.696 0.304 0.699
Ho9 0.728 0.272 0.306
Ho10 0.986 0.014 0.001
Tm1 0.116 0.884 0.812
Tm2 0.129 0.871 0.194
Tm3 0.871 0.129 0.694
Tm4 0.884 0.116 0.312
Th1 0.406 0.594 0.904
Th2 0.594 0.406 0.404

=====

[3]
Simulated powder X-ray diffraction pattern of DyHo2TmTh for Cu Ka, from DFT lattice parameters and positions (GGA-PBE).
No peak broadening, texture or thermal motion is included.

Main lines, low angle first (2θ from 15° to 90°):
2θ = 27.96°, I = 60.5
2θ = 28.66°, I = 52.8
2θ = 30.31°, I = 100.0
2θ = 30.54°, I = 76.1
2θ = 31.89°, I = 50.8
2θ = 34.96°, I = 56.9

Cell and atoms:
Cell: 8.479 6.296 6.275 Å, 90.00 96.98 90.00°
Fractional coordinates of all 10 atoms:
Dy1 0.000 0.000 0.000
Dy2 0.000 0.000 0.500
Ho1 0.313 0.303 0.214
Ho2 0.313 0.697 0.714
Ho3 0.687 0.303 0.286
Ho4 0.687 0.697 0.786
Tm1 0.500 0.182 0.750
Tm2 0.500 0.818 0.250
Th1 0.000 0.449 0.750
Th2 0.000 0.551 0.250

=====

[4]
Simulated powder X-ray diffraction pattern of DyYHo5Th2 for Cu Ka, from DFT lattice parameters and positions (GGA-PBE).
No peak broadening, texture or thermal motion is included.

Main lines, low angle first (2θ from 15° to 90°):
2θ = 28.71°, I = 81.8
2θ = 28.91°, I = 52.5
2θ = 30.95°, I = 100.0
2θ = 34.49°, I = 27.4
2θ = 37.58°, I = 30.2
2θ = 43.07°, I = 27.6

Cell and atoms:
Cell: 9.876 9.876 9.876 Å, 127.50 127.50 77.44°
Fractional coordinates of all 18 atoms:
Dy1 0.250 0.750 0.500
Dy2 0.750 0.250 0.500
Y1 0.250 0.250 0.000
Y2 0.750 0.750 0.000
Ho1 0.000 0.000 0.000
Ho2 0.070 0.570 0.920
Ho3 0.150 0.070 0.500
Ho4 0.350 0.850 0.920
Ho5 0.430 0.350 0.500
Ho6 0.500 0.500 0.000
Ho7 0.570 0.650 0.500
Ho8 0.650 0.150 0.080
Ho9 0.850 0.930 0.500
Ho10 0.930 0.430 0.080
Th1 0.119 0.381 0.500
Th2 0.381 0.881 0.261
Th3 0.619 0.119 0.739
Th4 0.881 0.619 0.500

=====

[5]
Simulated powder X-ray diffraction pattern of Dy4Ho3Tl2 for Cu Ka, from DFT lattice parameters and positions (GGA-PBE).
No peak broadening, texture or thermal motion is included.

Main lines, low angle first (2θ from 15° to 90°):
2θ = 31.50°, I = 41.1
2θ = 32.31°, I = 100.0
2θ = 32.68°, I = 92.9
2θ = 33.34°, I = 51.0
2θ = 46.52°, I = 30.0
2θ = 58.93°, I = 18.2

Cell and atoms:
Cell: 6.606 6.606 10.174 Å, 122.42 122.42 48.01°
Fractional coordinates of all 9 atoms:
Dy1 0.098 0.098 0.428
Dy2 0.267 0.267 0.918
Dy3 0.733 0.733 0.082
Dy4 0.902 0.902 0.572
Ho1 0.000 0.000 0.000
Ho2 0.354 0.354 0.321
Ho3 0.646 0.646 0.679
Tl1 0.415 0.415 0.746
Tl2 0.585 0.585 0.254

=====

[6]
Simulated powder X-ray diffraction pattern of DyHo2Tl2 for Cu Ka, from DFT lattice parameters and positions (GGA-PBE).
No peak broadening, texture or thermal motion is included.

Main lines, low angle first (2θ from 15° to 90°):
2θ = 32.07°, I = 100.0
2θ = 34.20°, I = 92.1
2θ = 47.59°, I = 33.8
2θ = 55.77°, I = 16.0
2θ = 59.90°, I = 34.2
2θ = 61.24°, I = 17.4

Cell and atoms:
Cell: 5.240 6.627 9.086 Å, 76.80 89.98 66.73°
Fractional coordinates of all 10 atoms:
Dy1 0.068 0.367 0.355
Dy2 0.932 0.633 0.645
Ho1 0.251 0.999 0.750
Ho2 0.434 0.634 0.144
Ho3 0.566 0.366 0.856
Ho4 0.749 0.001 0.250
Tl1 0.134 0.229 0.044
Tl2 0.363 0.771 0.454
Tl3 0.637 0.229 0.546
Tl4 0.866 0.771 0.956

=====

[7]
Simulated powder X-ray diffraction pattern of Dy12Ho2Tl for Cu Ka, from DFT lattice parameters and positions (GGA-PBE).
No peak broadening, texture or thermal motion is included.

Main lines, low angle first (2θ from 15° to 90°):
2θ = 30.94°, I = 29.0
2θ = 31.21°, I = 14.4
2θ = 31.69°, I = 36.8
2θ = 31.95°, I = 100.0
2θ = 34.33°, I = 34.3
2θ = 56.94°, I = 16.4

Cell and atoms:
Cell: 6.642 6.642 23.849 Å, 94.22 94.22 114.98°
Fractional coordinates of all 30 atoms:
Dy1 0.041 0.041 0.375
Dy2 0.080 0.578 0.432
Dy3 0.089 0.089 0.922
Dy4 0.100 0.599 0.943
Dy5 0.206 0.703 0.174
Dy6 0.231 0.737 0.696
Dy7 0.263 0.769 0.304
Dy8 0.297 0.794 0.826
Dy9 0.401 0.900 0.057
Dy10 0.409 0.409 0.077
Dy11 0.422 0.920 0.568
Dy12 0.459 0.459 0.629
Dy13 0.541 0.541 0.371
Dy14 0.578 0.080 0.432
Dy15 0.591 0.591 0.923
Dy16 0.599 0.100 0.943
Dy17 0.703 0.206 0.174
Dy18 0.737 0.231 0.696
Dy19 0.769 0.263 0.304
Dy20 0.794 0.297 0.826
Dy21 0.900 0.401 0.057
Dy22 0.911 0.911 0.078
Dy23 0.920 0.422 0.568
Dy24 0.959 0.959 0.625
Ho1 0.230 0.230 0.234
Ho2 0.268 0.268 0.767
Ho3 0.732 0.732 0.233
Ho4 0.770 0.770 0.766
Tl1 0.253 0.253 0.501
Tl2 0.747 0.747 0.499

=====

[8]
Simulated powder X-ray diffraction pattern of DyHo2Tl4 for Cu Ka, from DFT lattice parameters and positions (GGA-PBE).
No peak broadening, texture or thermal motion is included.

Main lines, low angle first (2θ from 15° to 90°):
2θ = 16.79°, I = 8.9
2θ = 33.96°, I = 100.0
2θ = 48.70°, I = 12.3
2θ = 60.72°, I = 25.5
2θ = 60.91°, I = 12.7
2θ = 81.40°, I = 11.2

Cell and atoms:
Cell: 6.465 6.465 6.465 Å, 109.32 109.32 109.77°
Fractional coordinates of all 7 atoms:
Dy1 0.000 0.000 0.000
Ho1 0.000 0.500 0.500
Ho2 0.500 0.000 0.500
Tl1 0.000 0.000 0.500
Tl2 0.000 0.500 0.000
Tl3 0.500 0.000 0.000
Tl4 0.500 0.500 0.500